Theoretical PXRD pattern of K2ZrSi3O11 for CuKα, from a DFT-relaxed cell (GGA-PBE, the Materials Project).
No peak broadening, texture or thermal motion is included.

Atomic structure:
abc: 6.7730 6.7730 12.1060
angles: 90.00 90.00 105.46
Sites, in units of the cell vectors:
1 K 0.0277 0.6252 0.5499
2 K 0.3748 0.9723 0.9501
3 K 0.6252 0.0277 0.4501
4 K 0.9723 0.3748 0.0499
5 Zr 0.0925 0.9075 0.2500
6 Zr 0.9075 0.0925 0.7500
7 Si 0.1732 0.1732 0.5000
8 Si 0.2104 0.4345 0.2911
9 Si 0.4345 0.2104 0.7089
10 Si 0.5655 0.7896 0.2089
11 Si 0.7896 0.5655 0.7911
12 Si 0.8268 0.8268 0.0000
13 O 0.0252 0.8478 0.0787
14 O 0.0662 0.5897 0.2743
15 O 0.1335 0.2221 0.2235
16 O 0.1522 0.9748 0.4213
17 O 0.2110 0.3855 0.4254
18 O 0.2221 0.1335 0.7765
19 O 0.2933 0.5503 0.9026
20 O 0.3855 0.2110 0.5746
21 O 0.4103 0.9338 0.2257
22 O 0.4470 0.5530 0.2500
23 O 0.4497 0.7067 0.5974
24 O 0.5503 0.2933 0.0974
25 O 0.5530 0.4470 0.7500
26 O 0.5897 0.0662 0.7257
27 O 0.6145 0.7890 0.0746
28 O 0.7067 0.4497 0.4026
29 O 0.7779 0.8665 0.2765
30 O 0.7890 0.6145 0.9254
31 O 0.8478 0.0252 0.9213
32 O 0.8665 0.7779 0.7235
33 O 0.9338 0.4103 0.7743
34 O 0.9748 0.1522 0.5787

The 12 most intense peaks (2θ from 15° to 90°), by intensity:
| Position (°2θ) | intensity |
| --- | --- |
| 28.32 | 100 |
| 15.42 | 97 |
| 28.09 | 65 |
| 25.96 | 48 |
| 32.61 | 35 |
| 31.13 | 33 |
| 29.51 | 29 |
| 47.47 | 23 |
| 46.73 | 21 |
| 54.18 | 21 |
| 44.88 | 21 |
| 35.19 | 18 |